Entry 1:
Simulated powder XRD pattern of BaZrRuO6 for CuKα, from a DFT-relaxed cell (GGA-PBE, Alexandria).
No peak broadening, texture or thermal motion is included.

Atomic structure:
a = 7.2285 Å, b = 7.5043 Å, c = 10.3080 Å
α = 90.00°, β = 90.00°, γ = 90.00°
Space group Imma (No. 74)
Asymmetric unit:
1 Ba 0.0000 0.2500 0.0757 [4 per cell]
2 Zr 0.0000 0.0000 0.5000 [4 per cell]
3 Ru 0.2500 0.2500 0.7500 [4 per cell]
4 O 0.0000 0.2500 0.4139 [4 per cell]
5 O 0.0000 0.2500 0.7630 [4 per cell]
6 O 0.2401 0.0677 0.6157 [16 per cell]

The 10 most intense peaks (2θ from 15° to 90°), low angle first:
- (1 1 2), 2θ = 24.30°, I = 30
- (1 2 1), 2θ = 28.16°, I = 100
- (0 1 3), 2θ = 28.57°, I = 73
- (2 1 1), 2θ = 28.75°, I = 80
- (2 0 2), 2θ = 30.20°, I = 69
- (0 3 3), 2θ = 44.82°, I = 34
- (3 2 1), 2θ = 45.60°, I = 25
- (2 2 4), 2θ = 49.79°, I = 37
- (2 4 2), 2θ = 58.23°, I = 22
- (4 1 3), 2θ = 59.03°, I = 23

---

Entry 2:
Simulated powder XRD pattern of TlCdAu for CuKα, from a DFT-relaxed cell (GGA-PBE, Alexandria).
No peak broadening, texture or thermal motion is included.

Atomic structure:
a = 4.2598 Å, b = 4.2792 Å, c = 7.9184 Å
α = 90.00°, β = 90.00°, γ = 90.00°
Space group Pmmn (No. 59, origin choice 2)
Asymmetric unit:
1 Tl 0.2500 0.2500 0.1321 [2 per cell]
2 Cd 0.2500 0.7500 0.5005 [2 per cell]
3 Au 0.2500 0.2500 0.7500 [2 per cell]

The 10 most intense peaks (2θ from 15° to 90°), low angle first:
- (1 1 0), 2θ = 29.59°, I = 67
- (1 0 2), 2θ = 30.80°, I = 60
- (1 1 1), 2θ = 31.72°, I = 89
- (1 1 2), 2θ = 37.46°, I = 100
- (0 1 3), 2θ = 40.17°, I = 77
- (0 2 0), 2θ = 42.24°, I = 43
- (2 0 0), 2θ = 42.44°, I = 42
- (2 1 3), 2θ = 59.84°, I = 24
- (2 2 0), 2θ = 61.42°, I = 28
- (1 0 5), 2θ = 62.56°, I = 28

---

Entry 3:
Simulated powder XRD pattern of Sm4Ho3S8 for CuKα, from a DFT-relaxed cell (GGA-PBE, Alexandria).
No peak broadening, texture or thermal motion is included.

Atomic structure:
a = 11.1552 Å, b = 11.1601 Å, c = 7.8806 Å
α = 90.00°, β = 134.90°, γ = 90.00°
Space group C2/m (No. 12)
Asymmetric unit:
1 Sm 0.0000 0.0000 0.0000 [2 per cell]
2 Sm 0.0000 0.5000 0.5000 [2 per cell]
3 Sm 0.2500 0.2500 0.0000 [4 per cell]
4 Ho 0.0000 0.5000 0.0000 [2 per cell]
5 Ho 0.2500 0.2500 0.5000 [4 per cell]
6 S 0.0000 0.2468 0.5000 [4 per cell]
7 S 0.0000 0.2537 0.0000 [4 per cell]
8 S 0.2491 0.5000 0.0060 [4 per cell]
9 S 0.2503 0.0000 0.5074 [4 per cell]

The 10 most intense peaks (2θ from 15° to 90°), low angle first:
- (2 2 0), 2θ = 27.69°, I = 70
- (0 4 0), 2θ = 32.08°, I = 100
- (4 0 0), 2θ = 45.99°, I = 60
- (4 0 -4), 2θ = 46.07°, I = 12
- (2 6 -2), 2θ = 54.53°, I = 29
- (4 4 0), 2θ = 57.13°, I = 12
- (4 4 -4), 2θ = 57.24°, I = 12
- (0 8 2), 2θ = 76.34°, I = 19
- (4 8 0), 2θ = 85.12°, I = 12
- (8 4 -6), 2θ = 85.27°, I = 12

---

Entry 4:
Simulated powder XRD pattern of KRb6Cd for CuKα, from a DFT-relaxed cell (GGA-PBE, Alexandria).
No peak broadening, texture or thermal motion is included.

Atomic structure:
a = 8.6455 Å, b = 8.6928 Å, c = 8.7038 Å
α = 99.09°, β = 98.21°, γ = 99.57°
Space group P-1 (No. 2)
Asymmetric unit:
1 K 0.0000 0.0000 0.0000 [1 per cell]
2 Rb 0.1084 0.2802 0.5614 [2 per cell]
3 Rb 0.2811 0.5578 0.1131 [2 per cell]
4 Rb 0.4424 0.8887 0.7201 [2 per cell]
5 Cd 0.5000 0.5000 0.5000 [1 per cell]

The 10 most intense peaks (2θ from 15° to 90°), low angle first:
- (1 1 1), 2θ = 21.37°, I = 38
- (0 2 -1), 2θ = 21.74°, I = 100
- (1 0 -2), 2θ = 21.82°, I = 39
- (1 -1 2), 2θ = 24.86°, I = 65
- (-1 2 1), 2θ = 25.06°, I = 64
- (2 1 -1), 2θ = 25.29°, I = 80
- (2 -3 1), 2θ = 35.79°, I = 25
- (1 2 -3), 2θ = 36.05°, I = 25
- (-3 1 2), 2θ = 36.20°, I = 23
- (0 4 -2), 2θ = 44.34°, I = 24

---

What did the second record say?
Simulated powder XRD pattern of TlCdAu for CuKα, from a DFT-relaxed cell (GGA-PBE, Alexandria).
No peak broadening, texture or thermal motion is included.

Atomic structure:
a = 4.2598 Å, b = 4.2792 Å, c = 7.9184 Å
α = 90.00°, β = 90.00°, γ = 90.00°
Space group Pmmn (No. 59, origin choice 2)
Asymmetric unit:
1 Tl 0.2500 0.2500 0.1321 [2 per cell]
2 Cd 0.2500 0.7500 0.5005 [2 per cell]
3 Au 0.2500 0.2500 0.7500 [2 per cell]

The 10 most intense peaks (2θ from 15° to 90°), low angle first:
- (1 1 0), 2θ = 29.59°, I = 67
- (1 0 2), 2θ = 30.80°, I = 60
- (1 1 1), 2θ = 31.72°, I = 89
- (1 1 2), 2θ = 37.46°, I = 100
- (0 1 3), 2θ = 40.17°, I = 77
- (0 2 0), 2θ = 42.24°, I = 43
- (2 0 0), 2θ = 42.44°, I = 42
- (2 1 3), 2θ = 59.84°, I = 24
- (2 2 0), 2θ = 61.42°, I = 28
- (1 0 5), 2θ = 62.56°, I = 28